Calculated X-ray diffraction stick pattern
Compound: Pr9In2Sn
Radiation: Cu Kα
Structure: a GGA-PBE-relaxed structure
Kinematic intensities with the Lorentz-polarization factor, no thermal factor.

Largest 9 diffraction maxima, low angle first, 2θ from 10° to 90°:
(1 0 0), 2θ = 17.69°, 5.014 Å, rel. 1
(1 1 3), 2θ = 30.89°, 2.895 Å, rel. 100
(2 0 0), 2θ = 35.82°, 2.507 Å, rel. 50
(2 2 0), 2θ = 51.55°, 1.773 Å, rel. 36
(3 1 3), 2θ = 61.32°, 1.512 Å, rel. 42
(2 2 6), 2θ = 64.36°, 1.447 Å, rel. 12
(4 0 0), 2θ = 75.90°, 1.254 Å, rel. 6
(3 3 3), 2θ = 84.16°, 1.150 Å, rel. 17
(4 2 0), 2θ = 86.88°, 1.121 Å, rel. 16

Cell and atoms:
```
data_Pr9In2Sn
_cell_length_a 5.015
_cell_length_b 5.015
_cell_length_c 15.035
_cell_angle_alpha 90.00
_cell_angle_beta 90.00
_cell_angle_gamma 90.00
_space_group_name_H-M_alt 'P 4/m m m'
_space_group_IT_number 123
_space_group_name_Hall '-P 4 2'
loop_
_atom_site_label
_atom_site_type_symbol
_atom_site_fract_x
_atom_site_fract_y
_atom_site_fract_z
_atom_site_occupancy
Pr1 Pr 0.000 0.000 0.000 1
Pr2 Pr 0.000 0.000 0.333 1
Pr3 Pr 0.000 0.500 0.165 1
Pr4 Pr 0.000 0.500 0.500 1
In1 In 0.500 0.500 0.333 1
Sn1 Sn 0.500 0.500 0.000 1
```